Record 1
Computed powder diffractogram of Tl2Sn2Cl7 for Cu Kα X-rays, from a PBE-relaxed structure.
Peak positions follow from Bragg's law for the DFT cell and can differ from measured ones.

Structure:
Lattice parameters (Å, degrees): 7.679 7.679 6.778 92.96 92.96 92.43
Atoms (fractional coordinates):
Tl1 0.226 0.774 0.000
Tl2 0.774 0.226 0.000
Sn1 0.221 0.221 0.564
Sn2 0.726 0.726 0.498
Cl1 0.019 0.447 0.729
Cl2 0.156 0.156 0.193
Cl3 0.447 0.019 0.729
Cl4 0.464 0.464 0.529
Cl5 0.588 0.902 0.233
Cl6 0.902 0.588 0.233
Cl7 0.975 0.975 0.642

Top 10 peaks for 10 to 90 degrees two-theta, most intense first:
- 20.72 deg, rel. 100
- 20.51 deg, rel. 39
- 23.22 deg, rel. 37
- 22.07 deg, rel. 29
- 36.39 deg, rel. 25
- 34.43 deg, rel. 24
- 33.83 deg, rel. 22
- 39.12 deg, rel. 20
- 32.30 deg, rel. 18
- 40.88 deg, rel. 16


Record 2
Computed powder diffractogram of TlSn4Cl8 for Cu Kα X-rays, from a PBE-relaxed structure.
Peak positions follow from Bragg's law for the DFT cell and can differ from measured ones.

Structure:
Lattice parameters (Å, degrees): 8.884 8.884 8.884 60.00 60.00 60.00
Atoms (fractional coordinates):
Tl1 0.000 0.000 0.000
Sn1 0.134 0.622 0.622
Sn2 0.622 0.134 0.622
Sn3 0.622 0.622 0.134
Sn4 0.622 0.622 0.622
Cl1 0.393 0.393 0.393
Cl2 0.393 0.393 0.820
Cl3 0.393 0.820 0.393
Cl4 0.427 0.858 0.858
Cl5 0.820 0.393 0.393
Cl6 0.858 0.427 0.858
Cl7 0.858 0.858 0.427
Cl8 0.858 0.858 0.858

Top 10 peaks for 10 to 90 degrees two-theta, most intense first:
- 23.49 deg, rel. 100
- 40.62 deg, rel. 66
- 37.19 deg, rel. 59
- 12.20 deg, rel. 40
- 28.42 deg, rel. 32
- 56.24 deg, rel. 26
- 14.10 deg, rel. 25
- 19.99 deg, rel. 22
- 73.92 deg, rel. 19
- 64.20 deg, rel. 17


Record 3
Computed powder diffractogram of TlSn4Cl8 for Cu Kα X-rays, from a PBE-relaxed structure.
Peak positions follow from Bragg's law for the DFT cell and can differ from measured ones.

Structure:
Lattice parameters (Å, degrees): 8.007 8.007 10.130 122.48 122.48 67.21
Atoms (fractional coordinates):
Tl1 0.000 0.000 0.000
Sn1 0.241 0.759 0.500
Sn2 0.257 0.257 0.010
Sn3 0.743 0.743 0.990
Sn4 0.759 0.241 0.500
Cl1 0.038 0.494 0.824
Cl2 0.049 0.049 0.367
Cl3 0.491 0.491 0.687
Cl4 0.494 0.038 0.824
Cl5 0.506 0.962 0.176
Cl6 0.509 0.509 0.313
Cl7 0.951 0.951 0.633
Cl8 0.962 0.506 0.176

Top 10 peaks for 10 to 90 degrees two-theta, most intense first:
- 13.26 deg, rel. 100
- 23.14 deg, rel. 91
- 35.79 deg, rel. 83
- 40.44 deg, rel. 57
- 22.99 deg, rel. 56
- 26.86 deg, rel. 47
- 35.48 deg, rel. 47
- 35.21 deg, rel. 39
- 40.73 deg, rel. 32
- 13.34 deg, rel. 25


Record 4
Computed powder diffractogram of Tl4Sn2Cl9 for Cu Kα X-rays, from a PBE-relaxed structure.
Peak positions follow from Bragg's law for the DFT cell and can differ from measured ones.

Structure:
Lattice parameters (Å, degrees): 7.644 7.649 20.838 90.02 90.01 119.96
Atoms (fractional coordinates):
Tl1 0.167 0.333 0.018
Tl2 0.167 0.333 0.525
Tl3 0.167 0.333 0.813
Tl4 0.167 0.334 0.317
Tl5 0.833 0.666 0.683
Tl6 0.833 0.667 0.187
Tl7 0.833 0.667 0.475
Tl8 0.833 0.667 0.982
Sn1 0.500 0.000 0.153
Sn2 0.500 0.000 0.351
Sn3 0.500 0.000 0.649
Sn4 0.500 0.000 0.847
Cl1 0.182 0.969 0.088
Cl2 0.184 0.735 0.582
Cl3 0.206 0.753 0.271
Cl4 0.214 0.683 0.912
Cl5 0.234 0.051 0.418
Cl6 0.253 0.047 0.729
Cl7 0.449 0.684 0.418
Cl8 0.452 0.706 0.729
Cl9 0.470 0.287 0.912
Cl10 0.530 0.713 0.088
Cl11 0.548 0.294 0.271
Cl12 0.551 0.316 0.582
Cl13 0.747 0.953 0.271
Cl14 0.766 0.949 0.582
Cl15 0.786 0.317 0.088
Cl16 0.794 0.247 0.729
Cl17 0.816 0.265 0.418
Cl18 0.818 0.031 0.912

Top 10 peaks for 10 to 90 degrees two-theta, most intense first:
- 21.70 deg, rel. 100
- 23.26 deg, rel. 92
- 34.90 deg, rel. 69
- 32.02 deg, rel. 51
- 39.95 deg, rel. 45
- 40.87 deg, rel. 42
- 15.85 deg, rel. 30
- 57.55 deg, rel. 23
- 45.64 deg, rel. 22
- 52.84 deg, rel. 18


Record 5
Computed powder diffractogram of TlVSn2Cl8 for Cu Kα X-rays, from a PBE-relaxed structure.
Peak positions follow from Bragg's law for the DFT cell and can differ from measured ones.

Structure:
Lattice parameters (Å, degrees): 6.209 7.216 8.515 100.74 103.25 91.74
Atoms (fractional coordinates):
Tl1 0.000 0.000 0.000
V1 0.000 0.000 0.500
Sn1 0.478 0.398 0.737
Sn2 0.522 0.602 0.263
Cl1 0.160 0.720 0.391
Cl2 0.202 0.189 0.379
Cl3 0.260 0.617 0.979
Cl4 0.309 0.063 0.747
Cl5 0.691 0.937 0.253
Cl6 0.740 0.383 0.021
Cl7 0.798 0.811 0.621
Cl8 0.840 0.280 0.609

Top 10 peaks for 10 to 90 degrees two-theta, most intense first:
- 18.60 deg, rel. 100
- 20.08 deg, rel. 84
- 29.31 deg, rel. 82
- 25.41 deg, rel. 58
- 19.77 deg, rel. 46
- 23.30 deg, rel. 46
- 22.99 deg, rel. 43
- 18.20 deg, rel. 39
- 34.15 deg, rel. 39
- 35.14 deg, rel. 38


Record 6
Computed powder diffractogram of Tl2ZnSnCl6 for Cu Kα X-rays, from a PBE-relaxed structure.
Peak positions follow from Bragg's law for the DFT cell and can differ from measured ones.

Structure:
Lattice parameters (Å, degrees): 6.938 7.882 7.899 108.63 114.23 102.34
Atoms (fractional coordinates):
Tl1 0.000 0.000 0.000
Tl2 0.149 0.640 0.446
Zn1 0.511 0.656 0.212
Sn1 0.594 0.287 0.669
Cl1 0.149 0.417 0.021
Cl2 0.172 0.248 0.485
Cl3 0.460 0.946 0.293
Cl4 0.520 0.069 0.836
Cl5 0.706 0.637 0.037
Cl6 0.720 0.638 0.513

Top 10 peaks for 10 to 90 degrees two-theta, most intense first:
- 22.19 deg, rel. 100
- 23.77 deg, rel. 87
- 22.94 deg, rel. 87
- 23.19 deg, rel. 81
- 14.35 deg, rel. 79
- 19.21 deg, rel. 47
- 36.59 deg, rel. 45
- 28.19 deg, rel. 44
- 26.68 deg, rel. 39
- 39.23 deg, rel. 37


Record 7
Computed powder diffractogram of VSnCl for Cu Kα X-rays, from a PBE-relaxed structure.
Peak positions follow from Bragg's law for the DFT cell and can differ from measured ones.

Structure:
Lattice parameters (Å, degrees): 8.600 6.487 5.544 90.00 108.69 90.00
Atoms (fractional coordinates):
V1 0.156 0.250 0.328
V2 0.156 0.250 0.828
V3 0.844 0.750 0.172
V4 0.844 0.750 0.672
Sn1 0.140 0.647 0.070
Sn2 0.140 0.853 0.570
Sn3 0.860 0.147 0.430
Sn4 0.860 0.353 0.930
Cl1 0.350 0.092 0.174
Cl2 0.350 0.408 0.674
Cl3 0.650 0.592 0.326
Cl4 0.650 0.908 0.826

Top 10 peaks for 10 to 90 degrees two-theta, most intense first:
- 10.86 deg, rel. 100
- 41.81 deg, rel. 57
- 21.79 deg, rel. 41
- 36.10 deg, rel. 39
- 36.95 deg, rel. 32
- 32.45 deg, rel. 28
- 44.47 deg, rel. 20
- 45.36 deg, rel. 18
- 25.83 deg, rel. 18
- 26.78 deg, rel. 18


Record 8
Computed powder diffractogram of Sn2W3Cl14 for Cu Kα X-rays, from a PBE-relaxed structure.
Peak positions follow from Bragg's law for the DFT cell and can differ from measured ones.

Structure:
Lattice parameters (Å, degrees): 9.728 9.728 13.107 90.00 90.00 120.00
Atoms (fractional coordinates):
Sn1 0.000 0.000 0.000
Sn2 0.000 0.000 0.500
Sn3 0.333 0.667 0.049
Sn4 0.667 0.333 0.549
W1 0.147 0.596 0.577
W2 0.404 0.551 0.577
W3 0.449 0.853 0.577
W4 0.551 0.147 0.077
W5 0.596 0.449 0.077
W6 0.853 0.404 0.077
Cl1 0.000 0.000 0.316
Cl2 0.000 0.000 0.816
Cl3 0.020 0.640 0.983
Cl4 0.033 0.715 0.472
Cl5 0.097 0.489 0.183
Cl6 0.194 0.444 0.704
Cl7 0.249 0.806 0.704
Cl8 0.285 0.318 0.472
Cl9 0.318 0.033 0.972
Cl10 0.333 0.667 0.438
Cl11 0.360 0.380 0.983
Cl12 0.380 0.020 0.483
Cl13 0.392 0.903 0.183
Cl14 0.444 0.249 0.204
Cl15 0.489 0.392 0.683
Cl16 0.511 0.608 0.183
Cl17 0.556 0.751 0.704
Cl18 0.608 0.097 0.683
Cl19 0.620 0.980 0.983
Cl20 0.640 0.620 0.483
Cl21 0.667 0.333 0.938
Cl22 0.682 0.967 0.472
Cl23 0.715 0.682 0.972
Cl24 0.751 0.194 0.204
Cl25 0.806 0.556 0.204
Cl26 0.903 0.511 0.683
Cl27 0.967 0.285 0.972
Cl28 0.980 0.360 0.483

Top 10 peaks for 10 to 90 degrees two-theta, most intense first:
- 13.51 deg, rel. 100
- 12.49 deg, rel. 62
- 17.14 deg, rel. 41
- 10.50 deg, rel. 31
- 34.87 deg, rel. 29
- 28.85 deg, rel. 24
- 18.24 deg, rel. 22
- 41.01 deg, rel. 19
- 34.75 deg, rel. 19
- 38.09 deg, rel. 18